# Li10Mn3Cr3Fe2O16
Calculated X-ray diffraction stick pattern, CuKα. Input: DFT lattice parameters and positions (PBE+U).

Crystal structure
abc: 5.9427 6.0670 9.9512
angles: 91.07 90.75 119.07
Element x y z (fractional)
Li (0.0000, 0.0000, 0.0000)
Li (0.0036, 0.4005, 0.9930)
Li (0.1763, 0.7792, 0.0717)
Li (0.1882, 0.8114, 0.5708)
Li (0.3690, 0.5998, 0.4921)
Li (0.3962, 0.2062, 0.5036)
Li (0.4896, 0.4419, 0.2760)
Li (0.5811, 0.0069, 0.9941)
Li (0.7942, 0.6101, 0.4844)
Li (0.8656, 0.1336, 0.7782)
Mn (0.3657, 0.1437, 0.7704)
Mn (0.3662, 0.6380, 0.7680)
Mn (0.5069, 0.9551, 0.2706)
Cr (0.0013, 0.4492, 0.2685)
Cr (0.0026, 0.9542, 0.2693)
Cr (0.8618, 0.6378, 0.7689)
Fe (0.5275, 0.4706, 0.0280)
Fe (0.8495, 0.1373, 0.5282)
O (0.0348, 0.9683, 0.6637)
O (0.0505, 0.4958, 0.6537)
O (0.1423, 0.7714, 0.3857)
O (0.1552, 0.2781, 0.3890)
O (0.1922, 0.7763, 0.8854)
O (0.2136, 0.2905, 0.8938)
O (0.3315, 0.0948, 0.1577)
O (0.3323, 0.6236, 0.1615)
O (0.5205, 0.0031, 0.6433)
O (0.5380, 0.5021, 0.6464)
O (0.6774, 0.2836, 0.3790)
O (0.6785, 0.8123, 0.3816)
O (0.6836, 0.7887, 0.8836)
O (0.6924, 0.3128, 0.8792)
O (0.8521, 0.6270, 0.1514)
O (0.8617, 0.1315, 0.1469)

Largest 10 diffraction maxima, in order of rising 2θ, 5 to 70 degrees two-theta:
- 17.8°, I 100
- 19.3°, I 55
- 35.0°, I 36
- 35.3°, I 38
- 35.9°, I 30
- 43.1°, I 35
- 43.7°, I 29
- 44.4°, I 60
- 44.5°, I 30
- 61.1°, I 30